Entry 1:
Structure and theoretical powder diffraction line list of K4TbTa3O12 (DFT lattice parameters and positions (GGA-PBE); copper Kα).
Kinematic intensities with the Lorentz-polarization factor, no thermal factor.

Top 12 peaks for 2θ = 10–80°, by angle:
15.08 deg, d 5.877, I 0.7; 21.38 deg, d 4.155, I 67.8; 30.42 deg, d 2.938, I 100.0; 37.49 deg, d 2.399, I 7.0; 43.56 deg, d 2.078, I 32.1; 49.02 deg, d 1.858, I 30.7; 54.06 deg, d 1.696, I 39.8; 63.30 deg, d 1.469, I 19.5; 67.64 deg, d 1.385, I 14.7; 71.84 deg, d 1.314, I 17.4; 75.95 deg, d 1.253, I 4.2; 79.98 deg, d 1.200, I 6.4

Cell: 7.197 7.197 7.197 Å, 109.47 109.47 109.47°
Fractional positions:
K 0.000 0.000 0.500
K 0.000 0.500 0.000
K 0.500 0.000 0.000
K 0.500 0.500 0.500
Tb 0.000 0.000 0.000
Ta 0.000 0.500 0.500
Ta 0.500 0.000 0.500
Ta 0.500 0.500 0.000
O 0.000 0.268 0.268
O 0.000 0.732 0.732
O 0.250 0.500 0.750
O 0.250 0.750 0.500
O 0.268 0.000 0.268
O 0.268 0.268 0.000
O 0.500 0.250 0.750
O 0.500 0.750 0.250
O 0.732 0.000 0.732
O 0.732 0.732 0.000
O 0.750 0.250 0.500
O 0.750 0.500 0.250

***

Entry 2:
Structure and theoretical powder diffraction line list of YPaCrN4 (DFT lattice parameters and positions (GGA-PBE); copper Kα).
Kinematic intensities with the Lorentz-polarization factor, no thermal factor.

Top 12 peaks for 2θ = 10–80°, by angle:
13.99 deg, d 6.331, I 62.8; 21.91 deg, d 4.057, I 17.8; 23.48 deg, d 3.789, I 100.0; 29.98 deg, d 2.981, I 17.3; 32.73 deg, d 2.736, I 41.4; 32.98 deg, d 2.716, I 69.8; 33.92 deg, d 2.643, I 45.9; 35.96 deg, d 2.497, I 20.6; 40.26 deg, d 2.240, I 32.2; 40.88 deg, d 2.207, I 35.7; 48.03 deg, d 1.894, I 31.0; 53.44 deg, d 1.715, I 17.8

Cell: 5.713 5.285 6.656 Å, 90.00 107.97 90.00°
Fractional positions:
Y 0.201 0.250 0.424
Y 0.799 0.750 0.576
Pa 0.271 0.250 0.943
Pa 0.729 0.750 0.057
Cr 0.267 0.750 0.201
Cr 0.733 0.250 0.799
N 0.058 0.750 0.362
N 0.072 0.750 0.929
N 0.483 0.501 0.233
N 0.483 0.999 0.233
N 0.517 0.001 0.767
N 0.517 0.499 0.767
N 0.928 0.250 0.071
N 0.942 0.250 0.638

***

Entry 3:
Structure and theoretical powder diffraction line list of SrLa4Si3O13 (DFT lattice parameters and positions (GGA-PBE); copper Kα).
Kinematic intensities with the Lorentz-polarization factor, no thermal factor.

Top 12 peaks for 2θ = 10–80°, by angle:
20.97 deg, d 4.236, I 25.9; 21.90 deg, d 4.059, I 23.3; 26.67 deg, d 3.342, I 35.9; 27.86 deg, d 3.202, I 33.4; 30.50 deg, d 2.931, I 100.0; 30.63 deg, d 2.919, I 50.5; 31.69 deg, d 2.824, I 28.5; 44.65 deg, d 2.029, I 28.1; 47.01 deg, d 1.933, I 34.8; 48.48 deg, d 1.878, I 18.4; 49.29 deg, d 1.849, I 22.2; 49.82 deg, d 1.830, I 28.1

Cell: 9.782 9.782 7.274 Å, 90.00 90.00 120.00°
Fractional positions:
Sr 0.333 0.667 0.000
Sr 0.667 0.333 0.500
La 0.010 0.243 0.752
La 0.233 0.990 0.752
La 0.243 0.233 0.252
La 0.333 0.667 0.500
La 0.667 0.333 0.000
La 0.757 0.767 0.752
La 0.767 0.010 0.252
La 0.990 0.757 0.252
Si 0.029 0.399 0.250
Si 0.370 0.971 0.250
Si 0.399 0.370 0.750
Si 0.601 0.630 0.250
Si 0.630 0.029 0.750
Si 0.971 0.601 0.750
O 0.000 0.000 0.256
O 0.000 0.000 0.756
O 0.088 0.341 0.433
O 0.089 0.339 0.072
O 0.122 0.593 0.258
O 0.163 0.680 0.743
O 0.249 0.911 0.072
O 0.254 0.912 0.433
O 0.320 0.483 0.743
O 0.339 0.249 0.572
O 0.341 0.254 0.933
O 0.407 0.529 0.258
O 0.471 0.878 0.258
O 0.483 0.163 0.243
O 0.517 0.837 0.743
O 0.529 0.122 0.758
O 0.593 0.471 0.758
O 0.659 0.746 0.433
O 0.661 0.751 0.072
O 0.680 0.517 0.243
O 0.746 0.088 0.933
O 0.751 0.089 0.572
O 0.837 0.320 0.243
O 0.878 0.407 0.758
O 0.911 0.661 0.572
O 0.912 0.659 0.933

***

Entry 4:
Structure and theoretical powder diffraction line list of Cd8In3Hg8 (DFT lattice parameters and positions (GGA-PBE); copper Kα).
Kinematic intensities with the Lorentz-polarization factor, no thermal factor.

Top 12 peaks for 2θ = 10–80°, by angle:
31.48 deg, d 2.842, I 100.0; 32.81 deg, d 2.729, I 89.7; 33.38 deg, d 2.684, I 86.6; 36.15 deg, d 2.485, I 68.5; 37.87 deg, d 2.376, I 60.8; 38.04 deg, d 2.366, I 61.0; 43.72 deg, d 2.070, I 41.9; 48.40 deg, d 1.880, I 29.4; 53.97 deg, d 1.699, I 21.1; 57.08 deg, d 1.614, I 18.7; 58.25 deg, d 1.584, I 17.1; 70.09 deg, d 1.343, I 19.7

Cell: 5.906 8.488 10.296 Å, 71.89 85.82 74.91°
Fractional positions:
Cd 0.018 0.065 0.341
Cd 0.237 0.473 0.079
Cd 0.325 0.687 0.457
Cd 0.371 0.798 0.136
Cd 0.629 0.202 0.864
Cd 0.675 0.313 0.543
Cd 0.763 0.527 0.921
Cd 0.982 0.935 0.659
In 0.145 0.256 0.711
In 0.500 0.000 0.500
In 0.855 0.744 0.289
Hg 0.072 0.165 0.028
Hg 0.195 0.377 0.391
Hg 0.295 0.565 0.771
Hg 0.452 0.889 0.822
Hg 0.548 0.111 0.178
Hg 0.705 0.435 0.229
Hg 0.805 0.623 0.609
Hg 0.928 0.835 0.972

***

Entry 5:
Structure and theoretical powder diffraction line list of Ce2AgIr (DFT lattice parameters and positions (GGA-PBE); copper Kα).
Kinematic intensities with the Lorentz-polarization factor, no thermal factor.

Top 12 peaks for 2θ = 10–80°, by angle:
11.99 deg, d 7.380, I 37.5; 34.69 deg, d 2.586, I 93.6; 35.37 deg, d 2.538, I 97.4; 35.68 deg, d 2.516, I 100.0; 37.75 deg, d 2.383, I 14.0; 49.40 deg, d 1.845, I 14.7; 50.33 deg, d 1.813, I 14.3; 52.35 deg, d 1.748, I 18.1; 62.41 deg, d 1.488, I 22.7; 63.01 deg, d 1.475, I 26.5; 64.34 deg, d 1.448, I 34.7; 75.57 deg, d 1.258, I 8.5

Cell: 7.252 3.495 8.219 Å, 90.00 116.11 90.00°
Fractional positions:
Ce 0.000 0.000 0.000
Ce 0.196 0.000 0.390
Ce 0.464 0.000 0.928
Ce 0.703 0.000 0.405
Ag 0.067 0.500 0.689
Ag 0.623 0.500 0.689
Ir 0.372 0.500 0.175
Ir 0.802 0.500 0.174

***

Entry 6:
Structure and theoretical powder diffraction line list of La5NdDy8 (DFT lattice parameters and positions (GGA-PBE); copper Kα).
Kinematic intensities with the Lorentz-polarization factor, no thermal factor.

Top 12 peaks for 2θ = 10–80°, by angle:
29.67 deg, d 3.011, I 38.1; 30.83 deg, d 2.901, I 100.0; 30.98 deg, d 2.887, I 48.5; 32.13 deg, d 2.786, I 44.8; 32.57 deg, d 2.749, I 42.5; 41.05 deg, d 2.199, I 15.2; 45.42 deg, d 1.997, I 12.1; 47.38 deg, d 1.919, I 18.7; 51.17 deg, d 1.785, I 15.6; 60.90 deg, d 1.521, I 14.7; 61.01 deg, d 1.519, I 14.1; 61.70 deg, d 1.503, I 14.1

Cell: 8.984 8.984 17.032 Å, 117.57 117.57 22.93°
Fractional positions:
La 0.000 0.000 0.000
La 0.288 0.288 0.357
La 0.356 0.356 0.060
La 0.644 0.644 0.940
La 0.712 0.712 0.643
Nd 0.500 0.500 0.500
Dy 0.076 0.076 0.723
Dy 0.146 0.146 0.437
Dy 0.217 0.217 0.146
Dy 0.419 0.419 0.777
Dy 0.581 0.581 0.223
Dy 0.783 0.783 0.854
Dy 0.854 0.854 0.563
Dy 0.924 0.924 0.277